1.
Structure and calculated powder diffraction line list of Li2TiVO4 (the GGA+U geometry in the Materials Project; Cu Ka).
Intensities are scaled so that the largest is 100.

Largest 10 diffraction maxima, by angle, 2θ from 10° to 90°:
h k l, 2θ/deg, I_rel
0 2 1, 23.89, 100.0
0 0 2, 37.18, 12.7
4 2 -1, 38.15, 18.2
4 0 0, 41.91, 34.2
2 4 -2, 43.84, 61.3
2 6 -1, 50.54, 21.7
4 2 1, 57.95, 9.3
2 4 2, 62.26, 34.3
4 0 -4, 63.73, 16.4
0 0 4, 79.24, 15.0

```
data_Li2TiVO4
_cell_length_a 10.412
_cell_length_b 11.684
_cell_length_c 5.840
_cell_angle_alpha 90.00
_cell_angle_beta 124.09
_cell_angle_gamma 90.00
_symmetry_space_group_name_H-M 'C 1 2 1'
_symmetry_Int_Tables_number 5
_symmetry_space_group_name_Hall 'C 2y'
loop_
_atom_site_label
_atom_site_type_symbol
_atom_site_fract_x
_atom_site_fract_y
_atom_site_fract_z
Li1 Li 0.000 0.000 0.000
Li2 Li 0.000 0.248 0.500
Li3 Li 0.000 0.500 0.000
Li4 Li 0.000 0.750 0.500
Li5 Li 0.247 0.624 0.494
Li6 Li 0.249 0.375 0.002
Ti1 Ti 0.245 0.374 0.499
Ti2 Ti 0.245 0.626 0.991
V1 V 0.000 0.247 0.000
V2 V 0.000 0.498 0.500
V3 V 0.000 0.754 0.000
V4 V 0.000 0.999 0.500
O1 O 0.016 0.373 0.265
O2 O 0.018 0.879 0.276
O3 O 0.020 0.121 0.763
O4 O 0.020 0.625 0.772
O5 O 0.246 0.000 0.745
O6 O 0.247 0.500 0.747
O7 O 0.248 0.248 0.250
O8 O 0.248 0.751 0.246
```



2.
Structure and calculated powder diffraction line list of Li2TiVO4 (the GGA+U geometry in the Materials Project; Cu Ka).
Intensities are scaled so that the largest is 100.

Largest 10 diffraction maxima, by angle, 2θ from 10° to 90°:
h k l, 2θ/deg, I_rel
1 1 0, 23.85, 100.0
3 1 -2, 37.13, 12.7
2 0 2, 38.07, 17.5
4 0 0, 41.81, 33.6
0 2 0, 43.78, 60.9
1 1 -4, 50.47, 21.9
5 1 0, 57.81, 9.6
2 2 2, 59.39, 8.6
4 2 0, 62.12, 25.5
2 2 -4, 63.65, 16.4

```
data_Li2TiVO4
_cell_length_a 9.588
_cell_length_b 4.134
_cell_length_c 8.273
_cell_angle_alpha 90.00
_cell_angle_beta 115.65
_cell_angle_gamma 90.00
_symmetry_space_group_name_H-M 'C 1 m 1'
_symmetry_Int_Tables_number 8
_symmetry_space_group_name_Hall 'C -2y'
loop_
_atom_site_label
_atom_site_type_symbol
_atom_site_fract_x
_atom_site_fract_y
_atom_site_fract_z
Li1 Li 0.000 0.000 0.000
Li2 Li 0.000 0.000 0.499
Li3 Li 0.247 0.500 0.623
Li4 Li 0.248 0.500 0.124
Ti1 Ti 0.000 0.500 0.251
Ti2 Ti 0.495 0.000 0.745
V1 V 0.248 0.000 0.874
V2 V 0.251 0.000 0.376
O1 O 0.001 0.000 0.750
O2 O 0.003 0.000 0.251
O3 O 0.226 0.500 0.863
O4 O 0.227 0.500 0.363
O5 O 0.266 0.000 0.635
O6 O 0.270 0.000 0.132
O7 O 0.494 0.000 0.997
O8 O 0.497 0.000 0.497
```



3.
Structure and calculated powder diffraction line list of Li2Ti3V3O12 (the GGA+U geometry in the Materials Project; Cu Ka).
Intensities are scaled so that the largest is 100.

Largest 10 diffraction maxima, by angle, 2θ from 10° to 90°:
h k l, 2θ/deg, I_rel
0 1 1, 17.63, 100.0
2 1 1, 35.07, 19.7
1 1 -2, 35.48, 8.9
2 2 2, 42.13, 18.4
1 -2 1, 42.34, 18.1
1 0 -3, 42.64, 17.5
1 4 1, 60.86, 8.5
3 0 3, 61.65, 5.0
0 2 -4, 62.42, 9.7
3 1 -2, 65.46, 6.2

```
data_Li2Ti3V3O12
_cell_length_a 5.196
_cell_length_b 6.091
_cell_length_c 8.003
_cell_angle_alpha 77.23
_cell_angle_beta 76.77
_cell_angle_gamma 73.57
_symmetry_space_group_name_H-M 'P -1'
_symmetry_Int_Tables_number 2
_symmetry_space_group_name_Hall '-P 1'
loop_
_atom_site_label
_atom_site_type_symbol
_atom_site_fract_x
_atom_site_fract_y
_atom_site_fract_z
Li1 Li 0.000 0.000 0.000
Li2 Li 0.500 0.500 0.500
Ti1 Ti 0.000 0.500 0.000
Ti2 Ti 0.003 0.820 0.662
V1 V 0.492 0.336 0.166
V2 V 0.500 0.000 0.500
O1 O 0.210 0.196 0.100
O2 O 0.232 0.533 0.756
O3 O 0.239 0.861 0.436
O4 O 0.254 0.640 0.062
O5 O 0.261 0.300 0.407
O6 O 0.270 0.969 0.725
```



4.
Structure and calculated powder diffraction line list of Li2Ti2V3O10 (the GGA+U geometry in the Materials Project; Cu Ka).
Intensities are scaled so that the largest is 100.

Largest 10 diffraction maxima, by angle, 2θ from 10° to 90°:
h k l, 2θ/deg, I_rel
0 0 1, 11.96, 59.8
1 0 0, 17.88, 100.0
1 1 1, 22.48, 16.7
0 1 2, 26.89, 18.8
1 0 2, 27.66, 21.2
-1 1 1, 29.96, 13.1
0 2 1, 35.67, 10.0
1 1 -2, 38.08, 41.7
-1 2 1, 44.21, 30.7
2 1 3, 45.32, 27.7

```
data_Li2Ti2V3O10
_cell_length_a 5.166
_cell_length_b 5.219
_cell_length_c 7.738
_cell_angle_alpha 75.76
_cell_angle_beta 77.88
_cell_angle_gamma 76.60
_symmetry_space_group_name_H-M 'P 1'
_symmetry_Int_Tables_number 1
_symmetry_space_group_name_Hall 'P 1'
loop_
_atom_site_label
_atom_site_type_symbol
_atom_site_fract_x
_atom_site_fract_y
_atom_site_fract_z
Li1 Li 0.000 0.000 0.000
Li2 Li 0.105 0.572 0.785
Ti1 Ti 0.542 0.915 0.708
Ti2 Ti 0.560 0.657 0.078
V1 V 0.056 0.785 0.386
V2 V 0.513 0.090 0.286
V3 V 0.598 0.470 0.499
O1 O 0.267 0.977 0.171
O2 O 0.325 0.732 0.898
O3 O 0.344 0.469 0.337
O4 O 0.347 0.830 0.527
O5 O 0.390 0.273 0.703
O6 O 0.707 0.304 0.076
O7 O 0.767 0.103 0.458
O8 O 0.769 0.722 0.254
O9 O 0.781 0.839 0.878
O10 O 0.829 0.577 0.604
```



5.
Structure and calculated powder diffraction line list of Li2TiVO4 (the GGA+U geometry in the Materials Project; Cu Ka).
Intensities are scaled so that the largest is 100.

Largest 10 diffraction maxima, by angle, 2θ from 10° to 90°:
h k l, 2θ/deg, I_rel
1 0 1, 23.93, 100.0
1 1 2, 37.29, 12.8
1 0 3, 38.39, 19.4
0 0 4, 42.31, 34.3
2 0 0, 43.84, 63.0
2 1 1, 50.55, 22.0
2 1 3, 59.66, 9.5
2 0 4, 62.56, 35.2
2 2 0, 63.73, 16.9
2 2 4, 79.50, 15.5

```
data_Li2TiVO4
_cell_length_a 4.131
_cell_length_b 4.131
_cell_length_c 8.544
_cell_angle_alpha 90.00
_cell_angle_beta 90.00
_cell_angle_gamma 90.00
_symmetry_space_group_name_H-M 'I -4 m 2'
_symmetry_Int_Tables_number 119
_symmetry_space_group_name_Hall 'I -4 -2'
loop_
_atom_site_label
_atom_site_type_symbol
_atom_site_fract_x
_atom_site_fract_y
_atom_site_fract_z
Li1 Li 0.000 0.000 0.000
Li2 Li 0.000 0.500 0.250
Ti1 Ti 0.000 0.000 0.500
V1 V 0.000 0.500 0.750
O1 O 0.000 0.000 0.266
O2 O 0.000 0.500 0.501
```



6.
Structure and calculated powder diffraction line list of Li4Ti3V5O16 (the GGA+U geometry in the Materials Project; Cu Ka).
Intensities are scaled so that the largest is 100.

Largest 10 diffraction maxima, by angle, 2θ from 10° to 90°:
h k l, 2θ/deg, I_rel
0 0 2, 18.35, 93.2
1 0 -1, 19.39, 49.2
1 0 1, 19.64, 100.0
1 1 2, 35.67, 28.4
2 -1 2, 35.81, 22.8
-2 2 1, 36.32, 31.7
-2 2 2, 39.85, 33.4
-2 2 3, 45.24, 30.5
-2 2 5, 59.95, 22.6
2 -4 0, 62.57, 21.0

```
data_Li4Ti3V5O16
_cell_length_a 5.909
_cell_length_b 5.939
_cell_length_c 9.671
_cell_angle_alpha 90.56
_cell_angle_beta 90.56
_cell_angle_gamma 119.60
_symmetry_space_group_name_H-M 'P 1'
_symmetry_Int_Tables_number 1
_symmetry_space_group_name_Hall 'P 1'
loop_
_atom_site_label
_atom_site_type_symbol
_atom_site_fract_x
_atom_site_fract_y
_atom_site_fract_z
Li1 Li 0.000 0.000 0.000
Li2 Li 0.007 0.010 0.502
Li3 Li 0.335 0.665 0.602
Li4 Li 0.669 0.335 0.103
Ti1 Ti 0.164 0.826 0.281
Ti2 Ti 0.663 0.831 0.281
Ti3 Ti 0.832 0.661 0.776
V1 V 0.173 0.345 0.287
V2 V 0.331 0.666 0.010
V3 V 0.344 0.169 0.788
V4 V 0.667 0.329 0.510
V5 V 0.820 0.162 0.787
O1 O 0.038 0.528 0.162
O2 O 0.157 0.326 0.894
O3 O 0.168 0.838 0.896
O4 O 0.332 0.169 0.396
O5 O 0.351 0.696 0.395
O6 O 0.481 0.962 0.160
O7 O 0.487 0.528 0.158
O8 O 0.522 0.479 0.659
O9 O 0.532 0.035 0.664
O10 O 0.674 0.840 0.892
O11 O 0.689 0.354 0.898
O12 O 0.841 0.169 0.395
O13 O 0.843 0.682 0.392
O14 O 0.962 0.482 0.659
O15 O 0.991 0.993 0.687
O16 O 0.997 0.994 0.185
```



7.
Structure and calculated powder diffraction line list of Li2TiVO4 (the GGA+U geometry in the Materials Project; Cu Ka).
Intensities are scaled so that the largest is 100.

Largest 10 diffraction maxima, by angle, 2θ from 10° to 90°:
h k l, 2θ/deg, I_rel
0 1 1, 18.16, 100.0
1 2 1, 35.19, 41.9
0 2 2, 36.81, 12.4
2 2 0, 42.72, 62.6
0 0 4, 42.84, 30.5
3 0 1, 46.81, 14.1
2 3 1, 56.49, 11.0
4 0 0, 62.01, 16.9
2 2 4, 62.10, 33.1
4 0 4, 78.31, 14.7

```
data_Li2TiVO4
_cell_length_a 5.985
_cell_length_b 5.988
_cell_length_c 8.444
_cell_angle_alpha 90.00
_cell_angle_beta 90.00
_cell_angle_gamma 90.00
_symmetry_space_group_name_H-M 'I m m a'
_symmetry_Int_Tables_number 74
_symmetry_space_group_name_Hall '-I 2b 2'
loop_
_atom_site_label
_atom_site_type_symbol
_atom_site_fract_x
_atom_site_fract_y
_atom_site_fract_z
Li1 Li 0.000 0.000 0.000
Li2 Li 0.250 0.250 0.250
Ti1 Ti 0.250 0.250 0.750
V1 V 0.000 0.000 0.500
O1 O 0.000 0.020 0.750
O2 O 0.249 0.250 0.515
```